No. 1
Diffraction record for La3InAu. The X-ray powder pattern is computed, not measured: it uses the PBE geometry in Alexandria and Cu Kα (weighted mean of Kα1 and Kα2).
Kinematic intensities with the Lorentz-polarization factor, no thermal factor.

Top 12 peaks for 10° ≤ 2θ ≤ 80°, low angle first:
2θ 17.7, d 5.021, intensity 15; 2θ 20.7, d 4.299, intensity 18; 2θ 27.3, d 3.265, intensity 13; 2θ 31.2, d 2.866, intensity 20; 2θ 32.2, d 2.778, intensity 100; 2θ 32.3, d 2.768, intensity 19; 2θ 35.8, d 2.510, intensity 31; 2θ 36.1, d 2.489, intensity 22; 2θ 37.1, d 2.424, intensity 32; 2θ 48.2, d 1.888, intensity 12; 2θ 62.0, d 1.496, intensity 15; 2θ 62.6, d 1.484, intensity 20

Atomic structure:
```
10
Lattice="5.021 -8.597 0.000 5.021 8.597 0.000 0.000 0.000 3.619" Properties=species:S:1:pos:R:3 pbc="T T T"
La 2.512 1.543 0.000
La 5.021 4.305 0.000
La 2.512 -1.543 0.000
La 7.529 1.543 0.000
La 5.021 -4.305 0.000
La 7.529 -1.543 0.000
In 0.000 0.000 1.809
In 5.021 0.000 1.809
Au 2.510 4.299 1.809
Au 2.510 -4.299 1.809
```

=====

No. 2
Diffraction record for BaCa2MgTe4. The X-ray powder pattern is computed, not measured: it uses the PBE geometry in Alexandria and Cu Kα (weighted mean of Kα1 and Kα2).
Kinematic intensities with the Lorentz-polarization factor, no thermal factor.

Top 12 peaks for 10° ≤ 2θ ≤ 80°, low angle first:
2θ 25.3, d 3.523, intensity 88; 2θ 26.3, d 3.385, intensity 51; 2θ 26.5, d 3.358, intensity 100; 2θ 28.3, d 3.152, intensity 88; 2θ 34.9, d 2.572, intensity 31; 2θ 36.8, d 2.444, intensity 20; 2θ 38.9, d 2.318, intensity 23; 2θ 39.0, d 2.310, intensity 23; 2θ 39.1, d 2.302, intensity 36; 2θ 45.9, d 1.978, intensity 17; 2θ 47.2, d 1.927, intensity 32; 2θ 48.2, d 1.889, intensity 20

Atomic structure:
```
16
Lattice="2.302 -7.741 0.000 2.302 7.741 0.000 0.000 0.000 15.825" Properties=species:S:1:pos:R:3 pbc="T T T"
Ba 2.302 5.818 11.868
Ba 2.302 -5.818 3.956
Ca 2.302 1.968 8.762
Ca 2.302 1.968 14.975
Ca 2.302 -1.968 0.850
Ca 2.302 -1.968 7.063
Mg 2.302 5.396 3.956
Mg 2.302 -5.396 11.868
Te 0.000 0.000 0.000
Te 0.000 0.000 7.912
Te 2.302 3.647 1.834
Te 2.302 3.647 6.078
Te 2.302 0.760 11.868
Te 2.302 -0.760 3.956
Te 2.302 -3.647 9.747
Te 2.302 -3.647 13.990
```

=====

No. 3
Diffraction record for Ba3Sr2Ga2. The X-ray powder pattern is computed, not measured: it uses the PBE geometry in Alexandria and Cu Kα (weighted mean of Kα1 and Kα2).
Kinematic intensities with the Lorentz-polarization factor, no thermal factor.

Top 12 peaks for 10° ≤ 2θ ≤ 80°, low angle first:
2θ 12.4, d 7.156, intensity 23; 2θ 23.3, d 3.817, intensity 33; 2θ 26.0, d 3.421, intensity 45; 2θ 26.8, d 3.330, intensity 96; 2θ 27.0, d 3.307, intensity 100; 2θ 28.0, d 3.187, intensity 28; 2θ 29.2, d 3.057, intensity 40; 2θ 29.7, d 3.013, intensity 27; 2θ 30.3, d 2.950, intensity 53; 2θ 33.6, d 2.664, intensity 45; 2θ 41.4, d 2.183, intensity 32; 2θ 46.5, d 1.951, intensity 29

Atomic structure:
```
7
Lattice="4.366 0.000 0.000 -2.182 7.638 0.000 -0.011 -4.126 9.411" Properties=species:S:1:pos:R:3 pbc="T T T"
Ba 0.000 0.000 0.000
Ba 0.000 0.053 4.071
Ba 2.173 3.460 5.340
Sr 0.001 4.314 1.641
Sr 2.173 -0.802 7.770
Ga -0.011 1.636 7.384
Ga 2.185 1.877 2.027
```

=====

No. 4
Diffraction record for HoGa2Ag4. The X-ray powder pattern is computed, not measured: it uses the PBE geometry in Alexandria and Cu Kα (weighted mean of Kα1 and Kα2).
Kinematic intensities with the Lorentz-polarization factor, no thermal factor.

Top 12 peaks for 10° ≤ 2θ ≤ 80°, low angle first:
2θ 31.8, d 2.814, intensity 12; 2θ 32.8, d 2.731, intensity 100; 2θ 35.7, d 2.517, intensity 48; 2θ 38.3, d 2.348, intensity 64; 2θ 41.7, d 2.167, intensity 47; 2θ 42.5, d 2.129, intensity 36; 2θ 47.1, d 1.930, intensity 21; 2θ 56.6, d 1.626, intensity 24; 2θ 62.3, d 1.491, intensity 23; 2θ 65.2, d 1.430, intensity 15; 2θ 71.6, d 1.319, intensity 10; 2θ 75.5, d 1.259, intensity 12

Atomic structure:
```
14
Lattice="7.959 0.000 0.000 0.000 7.959 0.000 0.000 0.000 4.259" Properties=species:S:1:pos:R:3 pbc="T T T"
Ho 0.000 0.000 0.000
Ho 3.980 3.980 2.129
Ga 1.615 1.615 2.129
Ga 2.364 5.595 0.000
Ga 5.595 2.364 0.000
Ga 6.344 6.344 2.129
Ag 0.765 5.212 2.129
Ag 1.232 3.215 0.000
Ag 2.748 7.194 2.129
Ag 3.215 1.232 0.000
Ag 4.745 6.727 0.000
Ag 5.212 0.765 2.129
Ag 6.727 4.745 0.000
Ag 7.194 2.748 2.129
```

=====

No. 5
Diffraction record for Cs2Te2Se5. The X-ray powder pattern is computed, not measured: it uses the PBE geometry in Alexandria and Cu Kα (weighted mean of Kα1 and Kα2).
Kinematic intensities with the Lorentz-polarization factor, no thermal factor.

Top 12 peaks for 10° ≤ 2θ ≤ 80°, low angle first:
2θ 10.7, d 8.259, intensity 100; 2θ 11.5, d 7.718, intensity 38; 2θ 12.2, d 7.247, intensity 51; 2θ 21.4, d 4.158, intensity 95; 2θ 23.0, d 3.871, intensity 67; 2θ 27.0, d 3.297, intensity 61; 2θ 28.8, d 3.103, intensity 49; 2θ 32.1, d 2.789, intensity 75; 2θ 32.4, d 2.761, intensity 90; 2θ 32.5, d 2.753, intensity 55; 2θ 46.3, d 1.962, intensity 53; 2θ 46.6, d 1.950, intensity 40

Atomic structure:
```
9
Lattice="8.402 -2.761 0.000 8.402 2.761 0.000 -3.556 0.000 8.259" Properties=species:S:1:pos:R:3 pbc="T T T"
Cs -0.069 0.000 2.615
Cs 13.318 0.000 5.644
Te 5.626 0.000 0.473
Te 7.623 0.000 7.786
Se 2.808 0.000 0.220
Se 5.746 0.000 3.019
Se 8.402 0.000 0.000
Se 7.503 0.000 5.240
Se 10.441 0.000 8.039
```

=====

No. 6
Diffraction record for Nd3Ga3Si. The X-ray powder pattern is computed, not measured: it uses the PBE geometry in Alexandria and Cu Kα (weighted mean of Kα1 and Kα2).
Kinematic intensities with the Lorentz-polarization factor, no thermal factor.

Top 12 peaks for 10° ≤ 2θ ≤ 80°, low angle first:
2θ 25.7, d 3.462, intensity 28; 2θ 28.6, d 3.118, intensity 23; 2θ 31.2, d 2.871, intensity 100; 2θ 31.5, d 2.844, intensity 59; 2θ 35.4, d 2.535, intensity 34; 2θ 40.1, d 2.249, intensity 27; 2θ 41.3, d 2.188, intensity 28; 2θ 43.5, d 2.082, intensity 24; 2θ 49.3, d 1.849, intensity 17; 2θ 54.6, d 1.680, intensity 24; 2θ 58.9, d 1.568, intensity 17; 2θ 61.5, d 1.508, intensity 17

Atomic structure:
```
14
Lattice="4.163 0.000 0.000 0.000 4.376 0.000 0.000 0.000 18.705" Properties=species:S:1:pos:R:3 pbc="T T T"
Nd 0.000 0.000 0.000
Nd 0.000 0.000 6.870
Nd 0.000 2.188 12.721
Nd 2.082 0.000 3.369
Nd 2.082 2.188 9.353
Nd 2.082 2.188 16.222
Ga 0.000 0.000 10.126
Ga 0.000 0.000 15.419
Ga 0.000 2.188 4.636
Ga 2.082 0.000 13.988
Ga 2.082 2.188 0.773
Ga 2.082 2.188 6.066
Si 0.000 2.188 2.204
Si 2.082 0.000 11.556
```

=====

Number 1 is which compound? La3InAu

=====

Which formula does entry 5 have? Cs2Te2Se5

=====

Please write out number 3 again, unchanged.
Diffraction record for Ba3Sr2Ga2. The X-ray powder pattern is computed, not measured: it uses the PBE geometry in Alexandria and Cu Kα (weighted mean of Kα1 and Kα2).
Kinematic intensities with the Lorentz-polarization factor, no thermal factor.

Top 12 peaks for 10° ≤ 2θ ≤ 80°, low angle first:
2θ 12.4, d 7.156, intensity 23; 2θ 23.3, d 3.817, intensity 33; 2θ 26.0, d 3.421, intensity 45; 2θ 26.8, d 3.330, intensity 96; 2θ 27.0, d 3.307, intensity 100; 2θ 28.0, d 3.187, intensity 28; 2θ 29.2, d 3.057, intensity 40; 2θ 29.7, d 3.013, intensity 27; 2θ 30.3, d 2.950, intensity 53; 2θ 33.6, d 2.664, intensity 45; 2θ 41.4, d 2.183, intensity 32; 2θ 46.5, d 1.951, intensity 29

Atomic structure:
```
7
Lattice="4.366 0.000 0.000 -2.182 7.638 0.000 -0.011 -4.126 9.411" Properties=species:S:1:pos:R:3 pbc="T T T"
Ba 0.000 0.000 0.000
Ba 0.000 0.053 4.071
Ba 2.173 3.460 5.340
Sr 0.001 4.314 1.641
Sr 2.173 -0.802 7.770
Ga -0.011 1.636 7.384
Ga 2.185 1.877 2.027
```